No. 1
Calculated X-ray diffraction stick pattern of MnP2RuPt for Cu Kα, 1.54184 Å, from a structure optimized by DFT (GGA-PBE).
Intensities are scaled so that the largest is 1000.

```
data_MnP2RuPt
_chemical_formula_sum 'Mn1 P2 Ru1 Pt1'
_cell_length_a 3.863
_cell_length_b 3.863
_cell_length_c 5.399
_cell_angle_alpha 90.00
_cell_angle_beta 90.00
_cell_angle_gamma 90.00
_symmetry_space_group_name_H-M 'P -4 m 2'
_symmetry_Int_Tables_number 115
loop_
_symmetry_equiv_pos_as_xyz
'x,y,z'
'y,-x,-z'
'-x,-y,z'
'-y,x,-z'
'-x,y,z'
'-y,-x,-z'
'x,-y,z'
'y,x,-z'
loop_
_atom_site_label
_atom_site_type_symbol
_atom_site_fract_x
_atom_site_fract_y
_atom_site_fract_z
_atom_site_occupancy
Mn1 Mn 0.000 0.000 0.000 1
P1 P 0.000 0.500 0.762 1
Ru1 Ru 0.500 0.500 0.000 1
Pt1 Pt 0.000 0.000 0.500 1
```

Top 8 peaks for 10 to 80 degrees two-theta, in order of falling intensity:
2θ (°)  I_rel  index
28.41  1000  1 0 1
47.34  678  1 1 2
32.78  476  1 1 0
47.05  347  2 0 0
55.87  309  2 1 1
23.02  286  1 0 0
33.18  232  0 0 2
58.78  181  2 0 2

***

No. 2
Calculated X-ray diffraction stick pattern of MnSnPPt for Cu Kα, 1.54184 Å, from a structure optimized by DFT (GGA-PBE).
Intensities are scaled so that the largest is 1000.

```
data_MnSnPPt
_chemical_formula_sum 'Mn2 Sn2 P2 Pt2'
_cell_length_a 2.993
_cell_length_b 3.381
_cell_length_c 13.645
_cell_angle_alpha 90.00
_cell_angle_beta 90.00
_cell_angle_gamma 90.00
_symmetry_space_group_name_H-M 'A m m 2'
_symmetry_Int_Tables_number 38
loop_
_symmetry_equiv_pos_as_xyz
'x,y,z'
'-x,-y,z'
'-x,y,z'
'x,-y,z'
'x,y+1/2,z+1/2'
'-x,-y+1/2,z+1/2'
'-x,y+1/2,z+1/2'
'x,-y+1/2,z+1/2'
loop_
_atom_site_label
_atom_site_type_symbol
_atom_site_fract_x
_atom_site_fract_y
_atom_site_fract_z
_atom_site_occupancy
Mn1 Mn 0.000 0.000 0.000 1
Sn1 Sn 0.500 0.000 0.831 1
P1 P 0.500 0.000 0.550 1
Pt1 Pt 0.500 0.000 0.175 1
```

Top 8 peaks for 10 to 80 degrees two-theta, in order of falling intensity:
2θ (°)  I_rel  index
45.10  1000  1 1 3
33.01  603  0 1 3
12.98  461  0 0 2
27.17  428  0 1 1
29.86  422  1 0 0
32.68  388  1 0 2
39.63  309  0 0 6
42.57  280  0 1 5

***

No. 3
Calculated X-ray diffraction stick pattern of Sm2MnP4Rh3 for Cu Kα, 1.54184 Å, from a structure optimized by DFT (GGA-PBE).
Intensities are scaled so that the largest is 1000.

```
data_Sm2MnP4Rh3
_chemical_formula_sum 'Sm2 Mn1 P4 Rh3'
_cell_length_a 4.139
_cell_length_b 4.139
_cell_length_c 9.439
_cell_angle_alpha 90.00
_cell_angle_beta 90.00
_cell_angle_gamma 90.00
_symmetry_space_group_name_H-M 'P -4 m 2'
_symmetry_Int_Tables_number 115
loop_
_symmetry_equiv_pos_as_xyz
'x,y,z'
'y,-x,-z'
'-x,-y,z'
'-y,x,-z'
'-x,y,z'
'-y,-x,-z'
'x,-y,z'
'y,x,-z'
loop_
_atom_site_label
_atom_site_type_symbol
_atom_site_fract_x
_atom_site_fract_y
_atom_site_fract_z
_atom_site_occupancy
Sm1 Sm 0.000 0.500 0.242 1
Mn1 Mn 0.000 0.000 0.500 1
P1 P 0.000 0.000 0.000 1
P2 P 0.000 0.500 0.625 1
P3 P 0.500 0.500 0.000 1
Rh1 Rh 0.000 0.500 0.883 1
Rh2 Rh 0.500 0.500 0.500 1
```

Top 8 peaks for 10 to 80 degrees two-theta, in order of falling intensity:
2θ (°)  I_rel  index
35.85  1000  1 0 3
36.11  943  1 1 2
43.74  685  2 0 0
57.79  496  2 1 3
30.55  358  1 1 0
32.02  274  1 1 1
53.34  241  1 0 5
63.58  220  2 2 0

***

No. 4
Calculated X-ray diffraction stick pattern of SrMnP2Rh for Cu Kα, 1.54184 Å, from a structure optimized by DFT (GGA-PBE).
Intensities are scaled so that the largest is 1000.

```
data_SrMnP2Rh
_chemical_formula_sum 'Sr2 Mn2 P4 Rh2'
_cell_length_a 3.963
_cell_length_b 3.963
_cell_length_c 11.407
_cell_angle_alpha 90.00
_cell_angle_beta 90.00
_cell_angle_gamma 90.00
_symmetry_space_group_name_H-M 'I -4 m 2'
_symmetry_Int_Tables_number 119
_symmetry_space_group_name_Hall 'I -4 -2'
loop_
_atom_site_label
_atom_site_type_symbol
_atom_site_fract_x
_atom_site_fract_y
_atom_site_fract_z
_atom_site_occupancy
Sr1 Sr 0.000 0.000 0.000 1
Mn1 Mn 0.000 0.500 0.250 1
P1 P 0.000 0.000 0.351 1
Rh1 Rh 0.000 0.500 0.750 1
```

Top 8 peaks for 10 to 80 degrees two-theta, in order of falling intensity:
2θ (°)  I_rel  index
35.70  1000  1 1 2
32.64  567  1 0 3
45.79  431  2 0 0
58.69  368  1 1 6
15.54  339  0 0 2
31.37  261  0 0 4
23.77  261  1 0 1
57.36  215  2 1 3

***

No. 5
Calculated X-ray diffraction stick pattern of MnPRu for Cu Kα, 1.54184 Å, from a structure optimized by DFT (GGA-PBE).
Intensities are scaled so that the largest is 1000.

```
data_MnPRu
_chemical_formula_sum 'Mn2 P2 Ru2'
_cell_length_a 3.603
_cell_length_b 3.603
_cell_length_c 5.649
_cell_angle_alpha 90.00
_cell_angle_beta 90.00
_cell_angle_gamma 90.00
_symmetry_space_group_name_H-M 'P 4/n m m'
_symmetry_Int_Tables_number 129
loop_
_symmetry_equiv_pos_as_xyz
'x,y,z'
'-x,-y,-z'
'-y+1/2,x,z'
'y+1/2,-x,-z'
'-x+1/2,-y+1/2,z'
'x+1/2,y+1/2,-z'
'y,-x+1/2,z'
'-y,x+1/2,-z'
'x+1/2,-y,-z'
'-x+1/2,y,z'
'-y,-x,-z'
'y,x,z'
'-x,y+1/2,-z'
'x,-y+1/2,z'
'y+1/2,x+1/2,-z'
'-y+1/2,-x+1/2,z'
loop_
_atom_site_label
_atom_site_type_symbol
_atom_site_fract_x
_atom_site_fract_y
_atom_site_fract_z
_atom_site_occupancy
Mn1 Mn 0.250 0.750 0.000 1
P1 P 0.250 0.250 0.243 1
Ru1 Ru 0.250 0.250 0.647 1
```

Top 8 peaks for 10 to 80 degrees two-theta, in order of falling intensity:
2θ (°)  I_rel  index
38.77  1000  1 1 1
40.59  665  1 0 2
50.67  584  2 0 0
48.10  493  1 1 2
29.40  407  1 0 1
66.85  294  2 1 2
35.23  288  1 1 0
72.64  232  2 0 3

***

No. 6
Calculated X-ray diffraction stick pattern of MnSnPS for Cu Kα, 1.54184 Å, from a structure optimized by DFT (GGA-PBE).
Intensities are scaled so that the largest is 1000.

```
data_MnSnPS
_chemical_formula_sum 'Mn2 Sn2 P2 S2'
_cell_length_a 6.062
_cell_length_b 3.521
_cell_length_c 7.279
_cell_angle_alpha 90.00
_cell_angle_beta 106.03
_cell_angle_gamma 90.00
_symmetry_space_group_name_H-M 'C 1 m 1'
_symmetry_Int_Tables_number 8
loop_
_symmetry_equiv_pos_as_xyz
'x,y,z'
'x,-y,z'
'x+1/2,y+1/2,z'
'x+1/2,-y+1/2,z'
loop_
_atom_site_label
_atom_site_type_symbol
_atom_site_fract_x
_atom_site_fract_y
_atom_site_fract_z
_atom_site_occupancy
Mn1 Mn 0.000 0.000 0.000 1
Sn1 Sn 0.154 0.000 0.468 1
P1 P 0.394 0.000 0.183 1
S1 S 0.105 0.500 0.816 1
```

Top 8 peaks for 10 to 80 degrees two-theta, in order of falling intensity:
2θ (°)  I_rel  index
36.49  1000  1 1 -2
29.65  514  1 1 0
25.46  439  0 0 2
30.58  427  1 1 -1
42.29  405  1 1 2
52.20  393  3 1 -1
45.68  355  2 0 2
34.04  343  1 1 1

***

No. 7
Calculated X-ray diffraction stick pattern of MnTl2PS4 for Cu Kα, 1.54184 Å, from a structure optimized by DFT (GGA-PBE).
Intensities are scaled so that the largest is 1000.

```
data_MnTl2PS4
_chemical_formula_sum 'Mn8 Tl16 P8 S32'
_cell_length_a 6.101
_cell_length_b 12.121
_cell_length_c 23.041
_cell_angle_alpha 90.00
_cell_angle_beta 90.00
_cell_angle_gamma 90.00
_symmetry_space_group_name_H-M 'F d d d'
_symmetry_Int_Tables_number 70
loop_
_symmetry_equiv_pos_as_xyz
'x,y,z'
'-x,-y,-z'
'-x+1/4,-y+1/4,z'
'x+1/4,y+1/4,-z'
'x,-y+1/4,-z+1/4'
'-x,y+1/4,z+1/4'
'-x+1/4,y,-z+1/4'
'x+1/4,-y,z+1/4'
'x,y+1/2,z+1/2'
'-x,-y+1/2,-z+1/2'
'-x+1/4,-y+3/4,z+1/2'
'x+1/4,y+3/4,-z+1/2'
'x,-y+3/4,-z+3/4'
'-x,y+3/4,z+3/4'
'-x+1/4,y+1/2,-z+3/4'
'x+1/4,-y+1/2,z+3/4'
'x+1/2,y,z+1/2'
'-x+1/2,-y,-z+1/2'
'-x+3/4,-y+1/4,z+1/2'
'x+3/4,y+1/4,-z+1/2'
'x+1/2,-y+1/4,-z+3/4'
'-x+1/2,y+1/4,z+3/4'
'-x+3/4,y,-z+3/4'
'x+3/4,-y,z+3/4'
'x+1/2,y+1/2,z'
'-x+1/2,-y+1/2,-z'
'-x+3/4,-y+3/4,z'
'x+3/4,y+3/4,-z'
'x+1/2,-y+3/4,-z+1/4'
'-x+1/2,y+3/4,z+1/4'
'-x+3/4,y+1/2,-z+1/4'
'x+3/4,-y+1/2,z+1/4'
loop_
_atom_site_label
_atom_site_type_symbol
_atom_site_fract_x
_atom_site_fract_y
_atom_site_fract_z
_atom_site_occupancy
Mn1 Mn 0.125 0.125 0.125 1
Tl1 Tl 0.125 0.125 0.304 1
P1 P 0.125 0.125 0.625 1
S1 S 0.090 0.277 0.826 1
```

Top 8 peaks for 10 to 80 degrees two-theta, in order of falling intensity:
2θ (°)  I_rel  index
32.90  1000  2 2 0
19.98  816  1 1 3
27.50  731  0 2 6
28.94  714  1 3 3
37.66  383  2 0 6
25.31  309  1 1 5
48.53  293  2 4 6
16.72  268  1 1 1

***

No. 8
Calculated X-ray diffraction stick pattern of MnP2Se for Cu Kα, 1.54184 Å, from a structure optimized by DFT (GGA-PBE).
Intensities are scaled so that the largest is 1000.

```
data_MnP2Se
_chemical_formula_sum 'Mn2 P4 Se2'
_cell_length_a 5.134
_cell_length_b 5.134
_cell_length_c 5.139
_cell_angle_alpha 90.00
_cell_angle_beta 90.00
_cell_angle_gamma 90.00
_symmetry_space_group_name_H-M 'I 4/m m m'
_symmetry_Int_Tables_number 139
_symmetry_space_group_name_Hall '-I 4 2'
loop_
_atom_site_label
_atom_site_type_symbol
_atom_site_fract_x
_atom_site_fract_y
_atom_site_fract_z
_atom_site_occupancy
Mn1 Mn 0.000 0.000 0.000 1
P1 P 0.000 0.500 0.000 1
Se1 Se 0.000 0.000 0.500 1
```

Top 8 peaks for 10 to 80 degrees two-theta, in order of falling intensity:
2θ (°)  I_rel  index
34.95  1000  2 0 0
50.25  670  2 2 0
24.52  274  1 1 0
62.67  223  2 2 2
43.14  129  1 1 2
73.81  103  4 0 0
68.35  64  3 1 2
56.70  57  3 1 0

***

No. 9
Calculated X-ray diffraction stick pattern of MnP3Se9 for Cu Kα, 1.54184 Å, from a structure optimized by DFT (GGA-PBE).
Intensities are scaled so that the largest is 1000.

```
data_MnP3Se9
_chemical_formula_sum 'Mn4 P12 Se36'
_cell_length_a 17.659
_cell_length_b 8.285
_cell_length_c 12.254
_cell_angle_alpha 90.00
_cell_angle_beta 129.29
_cell_angle_gamma 90.00
_symmetry_space_group_name_H-M 'C 1 c 1'
_symmetry_Int_Tables_number 9
loop_
_symmetry_equiv_pos_as_xyz
'x,y,z'
'x,-y,z+1/2'
'x+1/2,y+1/2,z'
'x+1/2,-y+1/2,z+1/2'
loop_
_atom_site_label
_atom_site_type_symbol
_atom_site_fract_x
_atom_site_fract_y
_atom_site_fract_z
_atom_site_occupancy
Mn1 Mn 0.000 0.240 0.000 1
P1 P 0.135 0.076 0.832 1
P2 P 0.254 0.422 0.778 1
P3 P 0.360 0.092 0.677 1
Se1 Se 0.004 0.177 0.797 1
Se2 Se 0.104 0.005 0.631 1
Se3 Se 0.117 0.486 0.575 1
Se4 Se 0.201 0.145 0.479 1
Se5 Se 0.260 0.266 0.942 1
Se6 Se 0.343 0.388 0.443 1
Se7 Se 0.347 0.124 0.282 1
Se8 Se 0.379 0.338 0.777 1
Se9 Se 0.483 0.089 0.671 1
```

Top 8 peaks for 10 to 80 degrees two-theta, in order of falling intensity:
2θ (°)  I_rel  index
31.13  1000  2 2 -3
29.69  704  2 2 1
28.93  637  2 0 2
27.52  559  5 1 -2
28.63  554  0 2 2
17.92  549  1 1 1
31.42  423  3 1 -4
30.44  412  4 2 -1

***

No. 10
Calculated X-ray diffraction stick pattern of Mn12SiP3 for Cu Kα, 1.54184 Å, from a structure optimized by DFT (GGA-PBE).
Intensities are scaled so that the largest is 1000.

```
data_Mn12SiP3
_chemical_formula_sum 'Mn12 Si1 P3'
_cell_length_a 4.484
_cell_length_b 6.720
_cell_length_c 6.742
_cell_angle_alpha 83.80
_cell_angle_beta 70.95
_cell_angle_gamma 70.65
_symmetry_space_group_name_H-M 'P 1'
_symmetry_Int_Tables_number 1
loop_
_symmetry_equiv_pos_as_xyz
'x,y,z'
loop_
_atom_site_label
_atom_site_type_symbol
_atom_site_fract_x
_atom_site_fract_y
_atom_site_fract_z
_atom_site_occupancy
Mn1 Mn 0.000 0.000 0.000 1
Mn2 Mn 0.025 0.861 0.649 1
Mn3 Mn 0.242 0.491 0.596 1
Mn4 Mn 0.301 0.720 0.220 1
Mn5 Mn 0.342 0.056 0.297 1
Mn6 Mn 0.375 0.069 0.670 1
Mn7 Mn 0.406 0.292 0.946 1
Mn8 Mn 0.503 0.646 0.806 1
Mn9 Mn 0.663 0.698 0.439 1
Mn10 Mn 0.692 0.360 0.236 1
Mn11 Mn 0.825 0.288 0.572 1
Mn12 Mn 0.945 0.628 0.010 1
Si1 Si 0.826 0.012 0.368 1
P1 P 0.144 0.423 0.285 1
P2 P 0.563 0.927 0.957 1
P3 P 0.910 0.340 0.873 1
```

Top 8 peaks for 10 to 80 degrees two-theta, in order of falling intensity:
2θ (°)  I_rel  index
41.49  1000  1 -2 1
42.82  699  0 3 0
46.30  565  -1 2 1
46.43  403  1 3 2
41.24  387  1 0 -2
42.70  385  2 0 1
51.77  339  0 2 -3
45.02  338  0 1 3

***

No. 11
Calculated X-ray diffraction stick pattern of Mn5SiP2 for Cu Kα, 1.54184 Å, from a structure optimized by DFT (GGA-PBE).
Intensities are scaled so that the largest is 1000.

```
data_Mn5SiP2
_chemical_formula_sum 'Mn10 Si2 P4'
_cell_length_a 2.948
_cell_length_b 5.687
_cell_length_c 11.002
_cell_angle_alpha 90.00
_cell_angle_beta 90.00
_cell_angle_gamma 90.00
_symmetry_space_group_name_H-M 'I m m m'
_symmetry_Int_Tables_number 71
_symmetry_space_group_name_Hall '-I 2 2'
loop_
_atom_site_label
_atom_site_type_symbol
_atom_site_fract_x
_atom_site_fract_y
_atom_site_fract_z
_atom_site_occupancy
Mn1 Mn 0.000 0.000 0.000 1
Mn2 Mn 0.000 0.248 0.371 1
Si1 Si 0.000 0.500 0.000 1
P1 P 0.000 0.000 0.214 1
```

Top 8 peaks for 10 to 80 degrees two-theta, in order of falling intensity:
2θ (°)  I_rel  index
45.06  1000  1 2 1
45.90  880  0 2 4
39.21  561  1 0 3
51.85  386  1 0 5
63.07  180  2 0 0
65.68  158  0 4 0
51.11  156  1 2 3
34.26  150  1 1 0

***

No. 12
Calculated X-ray diffraction stick pattern of ThMn2Si2P for Cu Kα, 1.54184 Å, from a structure optimized by DFT (GGA-PBE).
Intensities are scaled so that the largest is 1000.

```
data_ThMn2Si2P
_chemical_formula_sum 'Th1 Mn2 Si2 P1'
_cell_length_a 4.194
_cell_length_b 4.194
_cell_length_c 5.474
_cell_angle_alpha 90.00
_cell_angle_beta 90.00
_cell_angle_gamma 90.00
_symmetry_space_group_name_H-M 'P 4/m m m'
_symmetry_Int_Tables_number 123
_symmetry_space_group_name_Hall '-P 4 2'
loop_
_atom_site_label
_atom_site_type_symbol
_atom_site_fract_x
_atom_site_fract_y
_atom_site_fract_z
_atom_site_occupancy
Th1 Th 0.000 0.000 0.000 1
Mn1 Mn 0.000 0.500 0.500 1
Si1 Si 0.500 0.500 0.230 1
P1 P 0.000 0.000 0.500 1
```

Top 8 peaks for 10 to 80 degrees two-theta, in order of falling intensity:
2θ (°)  I_rel  index
34.39  1000  1 1 1
39.31  679  1 0 2
26.78  651  1 0 1
21.18  644  1 0 0
43.14  485  2 0 0
59.77  401  2 1 2
30.14  286  1 1 0
32.72  283  0 0 2